Diffraction record for La3DyHo5. The powder diffractogram is calculated, not measured: it uses a DFT-relaxed cell (GGA-PBE, Alexandria) and Cu Kα (weighted mean of Kα1 and Kα2).

Top 10 peaks for 2θ = 10–80°, by intensity:
2θ = 30.27°, I 1000
2θ = 30.17°, I 798
2θ = 27.81°, I 705
2θ = 28.41°, I 451
2θ = 21.66°, I 365
2θ = 32.24°, I 351
2θ = 37.03°, I 333
2θ = 34.85°, I 317
2θ = 39.68°, I 244
2θ = 53.72°, I 207

Cell and atoms:
Unit cell a=7.4296 b=7.4296 c=12.7608 alpha=98.31 beta=98.31 gamma=67.05
Atoms (fractional coordinates):
La  0.0000  0.0000  0.0000
La  0.0000  0.0000  0.5000
La  0.2670  0.2670  0.5338
La  0.3766  0.3766  0.7833
La  0.6234  0.6234  0.2167
La  0.7330  0.7330  0.4662
Dy  0.1433  0.1433  0.2604
Dy  0.8567  0.8567  0.7396
Ho  0.0700  0.6727  0.2171
Ho  0.2590  0.2590  0.0219
Ho  0.3213  0.6787  0.0000
Ho  0.3273  0.9300  0.7829
Ho  0.4454  0.4454  0.3769
Ho  0.5546  0.5546  0.6231
Ho  0.6727  0.0700  0.2171
Ho  0.6787  0.3213  0.0000
Ho  0.7410  0.7410  0.9781
Ho  0.9300  0.3273  0.7829